1.
VZnSiO5: theoretical powder XRD pattern (Cu Kα X-rays), based on a GGA+U-relaxed structure.
Lines closer than 0.1° are merged.

Most intense lines, 10° ≤ 2θ ≤ 90°, in order of falling intensity:
d/Å  Position (°2θ)  I/Imax  index
3.326  26.8  100  0 1 -2
3.034  29.4  82  1 1 0
2.585  34.7  54  1 -2 0
2.572  34.9  29  -1 1 2
4.747  18.7  27  1 0 0
2.301  39.2  20  1 0 -3
2.375  37.9  18  2 0 -2
1.689  54.3  17  0 3 0
3.288  27.1  16  1 0 -2
2.454  36.6  16  2 -1 0

```
data_VZnSiO5
_chemical_formula_sum 'V2 Zn2 Si2 O10'
_cell_length_a 5.2072
_cell_length_b 5.5536
_cell_length_c 7.2366
_cell_angle_alpha 106.74
_cell_angle_beta 106.97
_cell_angle_gamma 101.20
_symmetry_space_group_name_H-M 'P -1'
_symmetry_Int_Tables_number 2
_symmetry_space_group_name_Hall '-P 1'
loop_
_atom_site_label
_atom_site_type_symbol
_atom_site_fract_x
_atom_site_fract_y
_atom_site_fract_z
V1 V 0.0000 0.0000 0.0000
V2 V 0.0000 0.0000 0.5000
Zn1 Zn 0.2765 0.6607 0.2800
Si1 Si 0.3147 0.6485 0.7559
O1 O 0.0789 0.6531 0.8674
O2 O 0.1005 0.9484 0.2699
O3 O 0.2411 0.7723 0.5739
O4 O 0.3356 0.3457 0.6625
O5 O 0.3670 0.1894 0.0702
```



2.
VZnSi2O6: theoretical powder XRD pattern (Cu Kα X-rays), based on a GGA+U-relaxed structure.
Lines closer than 0.1° are merged.

Most intense lines, 10° ≤ 2θ ≤ 90°, in order of falling intensity:
d/Å  Position (°2θ)  I/Imax  index
2.691  33.3  100  1 3 -1
3.142  28.4  76  2 2 -1
3.301  27.0  75  2 2 0
2.940  30.4  73  3 1 0
2.229  40.5  71  3 3 -1
2.528  35.5  60  0 0 2
4.644  19.1  56  2 0 0
3.010  29.7  50  3 1 -1
1.674  54.9  39  5 3 -1
1.407  66.4  39  5 3 1

```
data_VZnSi2O6
_chemical_formula_sum 'V4 Zn4 Si8 O24'
_cell_length_a 9.9070
_cell_length_b 9.3845
_cell_length_c 5.3915
_cell_angle_alpha 90.00
_cell_angle_beta 110.35
_cell_angle_gamma 90.00
_symmetry_space_group_name_H-M 'C 1 2/c 1'
_symmetry_Int_Tables_number 15
_symmetry_space_group_name_Hall '-C 2yc'
loop_
_atom_site_label
_atom_site_type_symbol
_atom_site_fract_x
_atom_site_fract_y
_atom_site_fract_z
V1 V 0.0000 0.0962 0.2500
Zn1 Zn 0.0000 0.2397 0.7500
Si1 Si 0.1951 0.4160 0.2212
O1 O 0.1167 0.2634 0.1216
O2 O 0.1273 0.0857 0.6641
O3 O 0.1440 0.4763 0.4623
```



3.
Si2WO7: theoretical powder XRD pattern (Cu Kα X-rays), based on a GGA+U-relaxed structure.
Lines closer than 0.1° are merged.

Most intense lines, 10° ≤ 2θ ≤ 90°, in order of falling intensity:
d/Å  Position (°2θ)  I/Imax  index
7.225  12.3  100  2 0 0
6.963  12.7  73  1 1 0
4.119  21.6  50  3 1 0
6.305  14.0  50  1 1 -1
2.845  31.4  26  4 2 -2
4.854  18.3  24  1 1 1
2.427  37.0  24  2 2 2
4.653  19.1  24  3 1 -1
2.936  30.4  21  0 2 2
2.340  38.5  18  1 3 -2

```
data_Si2WO7
_chemical_formula_sum 'Si16 W8 O56'
_cell_length_a 17.2219
_cell_length_b 7.9463
_cell_length_c 10.3852
_cell_angle_alpha 90.00
_cell_angle_beta 122.96
_cell_angle_gamma 90.00
_symmetry_space_group_name_H-M 'C 1 2/c 1'
_symmetry_Int_Tables_number 15
_symmetry_space_group_name_Hall '-C 2yc'
loop_
_atom_site_label
_atom_site_type_symbol
_atom_site_fract_x
_atom_site_fract_y
_atom_site_fract_z
Si1 Si 0.1378 0.1720 0.1095
Si2 Si 0.1693 0.1964 0.6587
W1 W 0.0000 0.2940 0.7500
W2 W 0.0000 0.5000 0.0000
O1 O 0.0612 0.4834 0.8944
O2 O 0.0734 0.3136 0.1265
O3 O 0.0810 0.1525 0.9147
O4 O 0.0830 0.3254 0.6662
O5 O 0.1364 0.0075 0.6812
O6 O 0.1630 0.2328 0.5079
O7 O 0.2390 0.2495 0.1718
```